Theoretical powder XRD pattern of Sr2CaZn2Sn2P4O16 for Cu Kα, 1.54184 Å, from DFT lattice parameters and positions (GGA-PBE).
Lines closer than 0.1° are merged.

Principal peaks in the range 2θ = 5–70°, low angle first:
2θ 19.11, I 55; 2θ 21.45, I 44; 2θ 26.16, I 100; 2θ 29.30, I 56; 2θ 30.59, I 97; 2θ 30.84, I 71; 2θ 31.31, I 65; 2θ 34.97, I 46; 2θ 39.69, I 48; 2θ 51.38, I 50

Cell and atoms:
a = 6.3522 Å, b = 7.9647 Å, c = 9.3304 Å
α = 65.55°, β = 72.89°, γ = 75.97°
Atoms (fractional coordinates):
1 Sr 0.1952 0.1309 0.0496
2 Sr 0.8048 0.8691 0.9504
3 Ca 0.5000 0.5000 0.0000
4 Zn 0.0785 0.2516 0.5793
5 Zn 0.9215 0.7484 0.4207
6 Sn 0.4907 0.3201 0.4846
7 Sn 0.5093 0.6799 0.5154
8 P 0.0247 0.5329 0.7375
9 P 0.3847 0.9152 0.7939
10 P 0.6153 0.0848 0.2061
11 P 0.9753 0.4671 0.2625
12 O 0.1014 0.5783 0.3072
13 O 0.1128 0.7029 0.5765
14 O 0.1436 0.0263 0.7934
15 O 0.1468 0.3903 0.1406
16 O 0.2305 0.4113 0.8012
17 O 0.4070 0.7461 0.7462
18 O 0.4085 0.8322 0.9733
19 O 0.4325 0.9553 0.3050
20 O 0.5675 0.0447 0.6950
21 O 0.5915 0.1678 0.0267
22 O 0.5930 0.2539 0.2538
23 O 0.7695 0.5887 0.1988
24 O 0.8532 0.6097 0.8594
25 O 0.8564 0.9737 0.2066
26 O 0.8872 0.2971 0.4235
27 O 0.8986 0.4217 0.6928